This entry pairs a crystal structure of Pr14SmDy with its calculated PXRD pattern. Radiation: CuKα. Structure: a DFT-relaxed cell (GGA-PBE, Alexandria).

```
Pr14SmDy
1.0
7.3884 0.0000 0.0000
0.0000 7.3884 0.0000
0.0000 0.0000 10.4754
Pr Sm Dy
14 1 1
direct
0.0000 0.0000 0.0000 Pr
0.0000 0.5000 0.0000 Pr
0.0000 0.5000 0.5000 Pr
0.2493 0.2493 0.2520 Pr
0.2493 0.2493 0.7480 Pr
0.2493 0.7507 0.2520 Pr
0.2493 0.7507 0.7480 Pr
0.5000 0.0000 0.0000 Pr
0.5000 0.0000 0.5000 Pr
0.5000 0.5000 0.0000 Pr
0.7507 0.2493 0.2520 Pr
0.7507 0.2493 0.7480 Pr
0.7507 0.7507 0.2520 Pr
0.7507 0.7507 0.7480 Pr
0.5000 0.5000 0.5000 Sm
0.0000 0.0000 0.5000 Dy
```

Most intense lines, 2θ from 15° to 90°, most intense first:
- 29.59 deg, I = 100.0, hkl 2 0 2
- 34.30 deg, I = 50.7, hkl 2 2 0
- 49.29 deg, I = 36.4, hkl 4 0 0
- 58.59 deg, I = 28.9, hkl 4 2 2
- 58.47 deg, I = 14.5, hkl 2 0 6
- 61.43 deg, I = 12.5, hkl 4 0 4
- 79.95 deg, I = 11.7, hkl 4 2 6
- 82.56 deg, I = 10.9, hkl 6 2 0
- 80.05 deg, I = 5.9, hkl 6 0 2
- 82.38 deg, I = 5.4, hkl 2 2 8